No. 1
This entry pairs a crystal structure of Na4RhO5 with its theoretical powder diffraction line list. Radiation: λ = 1.5418 Å (Cu Kα). Structure: a GGA-PBE-relaxed structure.

Structural model:
```
data_Na4RhO5
_chemical_formula_sum 'Na8 Rh2 O10'
_cell_length_a 7.3102
_cell_length_b 7.3102
_cell_length_c 4.8559
_cell_angle_alpha 90.00
_cell_angle_beta 90.00
_cell_angle_gamma 90.00
_symmetry_space_group_name_H-M 'I 4'
_symmetry_Int_Tables_number 79
loop_
_symmetry_equiv_pos_as_xyz
'x,y,z'
'-y,x,z'
'-x,-y,z'
'y,-x,z'
'x+1/2,y+1/2,z+1/2'
'-y+1/2,x+1/2,z+1/2'
'-x+1/2,-y+1/2,z+1/2'
'y+1/2,-x+1/2,z+1/2'
loop_
_atom_site_label
_atom_site_type_symbol
_atom_site_fract_x
_atom_site_fract_y
_atom_site_fract_z
Na1 Na 0.0993 0.7011 0.0000
Rh1 Rh 0.0000 0.0000 0.5431
O1 O 0.0000 0.0000 0.9307
O2 O 0.0785 0.7484 0.4918
```

Most intense lines, 2θ from 5° to 70°, low angle first:
| index | 2theta | Rel. int. |
| --- | --- | --- |
| 1 1 0 | 17.15 | 92 |
| 1 0 1 | 21.97 | 100 |
| 2 0 0 | 24.35 | 28 |
| 1 2 1 | 33.03 | 82 |
| 0 0 2 | 37.03 | 47 |
| 3 1 0 | 38.96 | 85 |
| 3 1 2 | 54.83 | 51 |
| 2 4 0 | 56.28 | 28 |
| 5 0 1 | 66.83 | 29 |
| 2 4 2 | 69.30 | 24 |

=====

No. 2
This entry pairs a crystal structure of Ac12BiIr6 with its theoretical powder diffraction line list. Radiation: λ = 1.5418 Å (Cu Kα). Structure: a GGA-PBE-relaxed structure.

Structural model:
```
data_Ac12BiIr6
_chemical_formula_sum 'Ac24 Bi2 Ir12'
_cell_length_a 10.9135
_cell_length_b 10.9135
_cell_length_c 10.9135
_cell_angle_alpha 90.00
_cell_angle_beta 90.00
_cell_angle_gamma 90.00
_symmetry_space_group_name_H-M 'I m -3'
_symmetry_Int_Tables_number 204
_symmetry_space_group_name_Hall '-I 2 2 3'
loop_
_atom_site_label
_atom_site_type_symbol
_atom_site_fract_x
_atom_site_fract_y
_atom_site_fract_z
Ac1 Ac 0.0000 0.1804 0.3160
Bi1 Bi 0.0000 0.0000 0.0000
Ir1 Ir 0.0000 0.3702 0.5000
```

Most intense lines, 2θ from 5° to 70°, low angle first:
| index | 2theta | Rel. int. |
| --- | --- | --- |
| 2 0 0 | 16.24 | 11 |
| 3 1 0 | 25.82 | 16 |
| 2 2 2 | 28.33 | 15 |
| 3 2 1 | 30.65 | 100 |
| 3 3 0 | 34.88 | 12 |
| 4 1 3 | 42.22 | 36 |
| 5 0 3 | 48.65 | 18 |
| 6 0 0 | 50.15 | 18 |
| 5 3 2 | 51.63 | 23 |
| 5 3 4 | 59.93 | 15 |

=====

No. 3
This entry pairs a crystal structure of Sm8TmIn6 with its theoretical powder diffraction line list. Radiation: λ = 1.5418 Å (Cu Kα). Structure: a GGA-PBE-relaxed structure.

Structural model:
```
data_Sm8TmIn6
_chemical_formula_sum 'Sm24 Tm3 In18'
_cell_length_a 9.1442
_cell_length_b 9.1442
_cell_length_c 19.7486
_cell_angle_alpha 90.00
_cell_angle_beta 90.00
_cell_angle_gamma 120.00
_symmetry_space_group_name_H-M 'R -3'
_symmetry_Int_Tables_number 148
_symmetry_space_group_name_Hall '-R 3'
loop_
_atom_site_label
_atom_site_type_symbol
_atom_site_fract_x
_atom_site_fract_y
_atom_site_fract_z
Sm1 Sm 0.0000 0.0000 0.1657
Sm2 Sm 0.9998 0.3332 0.0523
Tm1 Tm 0.0000 0.0000 0.5000
In1 In 0.0005 0.6722 0.4444
```

Most intense lines, 2θ from 5° to 70°, low angle first:
| index | 2theta | Rel. int. |
| --- | --- | --- |
| 0 0 3 | 13.45 | 7 |
| 1 1 0 | 19.41 | 10 |
| 1 1 3 | 23.69 | 34 |
| 2 -1 6 | 33.55 | 100 |
| 3 0 0 | 33.96 | 93 |
| 4 -2 3 | 41.83 | 8 |
| 2 2 6 | 48.48 | 35 |
| 1 1 12 | 59.72 | 18 |
| 5 -1 6 | 60.51 | 36 |
| 3 3 0 | 60.77 | 17 |

=====

No. 4
This entry pairs a crystal structure of BaInBrCl2 with its theoretical powder diffraction line list. Radiation: λ = 1.5418 Å (Cu Kα). Structure: a GGA-PBE-relaxed structure.

Structural model:
```
data_BaInBrCl2
_chemical_formula_sum 'Ba2 In2 Br2 Cl4'
_cell_length_a 8.4329
_cell_length_b 5.0693
_cell_length_c 9.8318
_cell_angle_alpha 90.00
_cell_angle_beta 105.00
_cell_angle_gamma 90.00
_symmetry_space_group_name_H-M 'P 1 21/m 1'
_symmetry_Int_Tables_number 11
loop_
_symmetry_equiv_pos_as_xyz
'x,y,z'
'-x,-y,-z'
'-x,y+1/2,-z'
'x,-y+1/2,z'
loop_
_atom_site_label
_atom_site_type_symbol
_atom_site_fract_x
_atom_site_fract_y
_atom_site_fract_z
Ba1 Ba 0.2437 0.2500 0.4386
In1 In 0.2392 0.7500 0.9965
Br1 Br 0.1615 0.7500 0.6307
Cl1 Cl 0.1238 0.2500 0.1104
Cl2 Cl 0.4104 0.7500 0.3452
```

Most intense lines, 2θ from 5° to 70°, low angle first:
| index | 2theta | Rel. int. |
| --- | --- | --- |
| 0 0 2 | 18.69 | 48 |
| 0 1 1 | 19.85 | 24 |
| 1 1 -1 | 21.47 | 100 |
| 2 0 0 | 21.82 | 61 |
| 2 0 2 | 32.45 | 37 |
| 1 1 -3 | 32.75 | 61 |
| 0 1 3 | 33.37 | 24 |
| 0 2 0 | 35.41 | 40 |
| 3 1 -1 | 36.57 | 66 |
| 2 2 0 | 41.99 | 26 |

=====

No. 5
This entry pairs a crystal structure of La4CoPd with its theoretical powder diffraction line list. Radiation: λ = 1.5418 Å (Cu Kα). Structure: a GGA-PBE-relaxed structure.

Structural model:
```
data_La4CoPd
_chemical_formula_sum 'La16 Co4 Pd4'
_cell_length_a 8.7192
_cell_length_b 12.3348
_cell_length_c 6.5304
_cell_angle_alpha 90.00
_cell_angle_beta 102.23
_cell_angle_gamma 90.00
_symmetry_space_group_name_H-M 'C 1 2/c 1'
_symmetry_Int_Tables_number 15
loop_
_symmetry_equiv_pos_as_xyz
'x,y,z'
'-x,-y,-z'
'-x,y,-z+1/2'
'x,-y,z+1/2'
'x+1/2,y+1/2,z'
'-x+1/2,-y+1/2,-z'
'-x+1/2,y+1/2,-z+1/2'
'x+1/2,-y+1/2,z+1/2'
loop_
_atom_site_label
_atom_site_type_symbol
_atom_site_fract_x
_atom_site_fract_y
_atom_site_fract_z
La1 La 0.0996 0.1603 0.0224
La2 La 0.1869 0.4149 0.4349
Co1 Co 0.0000 0.0025 0.7500
Pd1 Pd 0.0000 0.3747 0.7500
```

Most intense lines, 2θ from 5° to 70°, low angle first:
| index | 2theta | Rel. int. |
| --- | --- | --- |
| 2 2 -1 | 26.75 | 29 |
| 1 1 -2 | 28.64 | 21 |
| 0 4 0 | 28.96 | 42 |
| 2 2 1 | 31.19 | 100 |
| 3 1 -1 | 32.49 | 40 |
| 1 3 -2 | 35.40 | 30 |
| 1 5 0 | 37.98 | 17 |
| 3 3 -1 | 38.65 | 16 |
| 1 5 -1 | 39.79 | 14 |
| 4 0 2 | 56.85 | 20 |

=====

No. 6
This entry pairs a crystal structure of BaNaNi2 with its theoretical powder diffraction line list. Radiation: λ = 1.5418 Å (Cu Kα). Structure: a GGA-PBE-relaxed structure.

Structural model:
```
data_BaNaNi2
_chemical_formula_sum 'Ba4 Na4 Ni8'
_cell_length_a 4.7886
_cell_length_b 4.7886
_cell_length_c 18.4343
_cell_angle_alpha 90.00
_cell_angle_beta 90.00
_cell_angle_gamma 90.00
_symmetry_space_group_name_H-M 'I 41/a m d'
_symmetry_Int_Tables_number 141
loop_
_symmetry_equiv_pos_as_xyz
'x,y,z'
'-x,-y,-z'
'-y+1/4,x+3/4,z+1/4'
'y+1/4,-x+3/4,-z+1/4'
'-x+1/2,-y,z+1/2'
'x+1/2,y,-z+1/2'
'y+1/4,-x+1/4,z+3/4'
'-y+1/4,x+1/4,-z+3/4'
'x,-y,-z'
'-x,y,z'
'-y+1/4,-x+1/4,-z+3/4'
'y+1/4,x+1/4,z+3/4'
'-x+1/2,y,-z+1/2'
'x+1/2,-y,z+1/2'
'y+1/4,x+3/4,-z+1/4'
'-y+1/4,-x+3/4,z+1/4'
'x+1/2,y+1/2,z+1/2'
'-x+1/2,-y+1/2,-z+1/2'
'-y+3/4,x+1/4,z+3/4'
'y+3/4,-x+1/4,-z+3/4'
'-x,-y+1/2,z'
'x,y+1/2,-z'
'y+3/4,-x+3/4,z+1/4'
'-y+3/4,x+3/4,-z+1/4'
'x+1/2,-y+1/2,-z+1/2'
'-x+1/2,y+1/2,z+1/2'
'-y+3/4,-x+3/4,-z+1/4'
'y+3/4,x+3/4,z+1/4'
'-x,y+1/2,-z'
'x,-y+1/2,z'
'y+3/4,x+1/4,-z+3/4'
'-y+3/4,-x+1/4,z+3/4'
loop_
_atom_site_label
_atom_site_type_symbol
_atom_site_fract_x
_atom_site_fract_y
_atom_site_fract_z
Ba1 Ba 0.0000 0.2500 0.3750
Na1 Na 0.0000 0.2500 0.8750
Ni1 Ni 0.0000 0.0000 0.0000
```

Most intense lines, 2θ from 5° to 70°, low angle first:
| index | 2theta | Rel. int. |
| --- | --- | --- |
| 1 0 3 | 23.55 | 100 |
| 1 1 2 | 28.07 | 79 |
| 1 0 5 | 30.60 | 51 |
| 2 0 0 | 37.57 | 18 |
| 2 0 2 | 38.86 | 23 |
| 0 0 8 | 39.09 | 27 |
| 1 1 6 | 39.61 | 31 |
| 2 0 4 | 42.52 | 66 |
| 2 0 8 | 55.31 | 30 |
| 2 2 4 | 58.04 | 33 |